Structure and calculated PXRD pattern of Nd3MgIn3AgAu (a DFT-relaxed cell (GGA-PBE, OQMD); Cu Kα, 1.54184 Å).
Kinematic intensities with the Lorentz-polarization factor, no thermal factor.

Crystal structure
Unit cell a=7.892 b=7.892 c=4.269 alpha=90.00 beta=90.00 gamma=120.00
Atoms (fractional coordinates):
Nd 0.081 0.732 0.000
Nd 0.268 0.348 0.000
Nd 0.652 0.919 0.000
Mg 0.000 0.000 0.500
In 0.412 0.087 0.500
In 0.676 0.588 0.500
In 0.913 0.324 0.500
Ag 0.667 0.333 0.000
Au 0.333 0.667 0.500

Main lines, in order of rising 2θ (10° ≤ 2θ ≤ 80°):
| Position (°2θ) | I/Imax |
| --- | --- |
| 13.0 | 33 |
| 30.9 | 98 |
| 33.6 | 100 |
| 34.7 | 51 |
| 39.6 | 34 |
| 40.8 | 38 |
| 42.3 | 28 |
| 55.9 | 26 |
| 59.3 | 21 |
| 63.2 | 34 |



Structure and calculated PXRD pattern of Na2Y2In2AgAu (a DFT-relaxed cell (GGA-PBE, OQMD); Cu Kα, 1.54184 Å).
Kinematic intensities with the Lorentz-polarization factor, no thermal factor.

Crystal structure
Unit cell a=4.991 b=4.991 c=7.066 alpha=90.00 beta=90.00 gamma=90.00
Atoms (fractional coordinates):
Na 0.000 0.000 0.000
Na 0.500 0.500 0.500
Y 0.000 0.500 0.746
Y 0.500 0.000 0.254
In 0.000 0.500 0.247
In 0.500 0.000 0.753
Ag 0.500 0.500 0.000
Au 0.000 0.000 0.500

Main lines, in order of rising 2θ (10° ≤ 2θ ≤ 80°):
| Position (°2θ) | I/Imax |
| --- | --- |
| 12.5 | 2 |
| 17.8 | 2 |
| 21.8 | 28 |
| 36.0 | 100 |
| 42.5 | 15 |
| 51.8 | 17 |
| 56.8 | 6 |
| 64.7 | 35 |
| 69.1 | 5 |
| 76.3 | 11 |



Structure and calculated PXRD pattern of Pr3In3NiAgAu (a DFT-relaxed cell (GGA-PBE, OQMD); Cu Kα, 1.54184 Å).
Kinematic intensities with the Lorentz-polarization factor, no thermal factor.

Crystal structure
Unit cell a=7.894 b=7.894 c=4.064 alpha=90.00 beta=90.00 gamma=120.00
Atoms (fractional coordinates):
Pr 0.073 0.734 0.000
Pr 0.266 0.339 0.000
Pr 0.661 0.927 0.000
In 0.425 0.096 0.500
In 0.671 0.575 0.500
In 0.904 0.329 0.500
Ni 0.667 0.333 0.000
Ag 0.000 0.000 0.500
Au 0.333 0.667 0.500

Main lines, in order of rising 2θ (10° ≤ 2θ ≤ 80°):
| Position (°2θ) | I/Imax |
| --- | --- |
| 31.6 | 100 |
| 34.3 | 74 |
| 34.7 | 54 |
| 39.5 | 32 |
| 41.4 | 29 |
| 44.6 | 23 |
| 53.3 | 16 |
| 57.7 | 25 |
| 61.1 | 17 |
| 63.6 | 25 |



Structure and calculated PXRD pattern of Tm3In3AgPtAu (a DFT-relaxed cell (GGA-PBE, OQMD); Cu Kα, 1.54184 Å).
Kinematic intensities with the Lorentz-polarization factor, no thermal factor.

Crystal structure
Unit cell a=7.855 b=7.855 c=3.724 alpha=90.00 beta=90.00 gamma=120.00
Atoms (fractional coordinates):
Tm 0.080 0.731 0.000
Tm 0.269 0.349 0.000
Tm 0.651 0.920 0.000
In 0.396 0.066 0.500
In 0.670 0.604 0.500
In 0.934 0.330 0.500
Ag 0.667 0.333 0.000
Pt 0.333 0.667 0.500
Au 0.000 0.000 0.500

Main lines, in order of rising 2θ (10° ≤ 2θ ≤ 80°):
| Position (°2θ) | I/Imax |
| --- | --- |
| 33.2 | 100 |
| 34.9 | 42 |
| 35.8 | 85 |
| 39.8 | 55 |
| 42.7 | 27 |
| 48.2 | 15 |
| 48.9 | 21 |
| 61.5 | 16 |
| 64.8 | 60 |
| 74.2 | 13 |



Structure and calculated PXRD pattern of Y3In3AgPtAu (a DFT-relaxed cell (GGA-PBE, OQMD); Cu Kα, 1.54184 Å).
Kinematic intensities with the Lorentz-polarization factor, no thermal factor.

Crystal structure
Unit cell a=7.829 b=7.829 c=3.880 alpha=90.00 beta=90.00 gamma=120.00
Atoms (fractional coordinates):
Y 0.012 0.415 0.000
Y 0.403 0.988 0.000
Y 0.585 0.597 0.000
In 0.001 0.736 0.500
In 0.264 0.264 0.500
In 0.736 0.999 0.500
Ag 0.000 0.000 0.000
Pt 0.333 0.667 0.500
Au 0.667 0.333 0.500

Main lines, in order of rising 2θ (10° ≤ 2θ ≤ 80°):
| Position (°2θ) | I/Imax |
| --- | --- |
| 22.7 | 29 |
| 32.5 | 91 |
| 35.0 | 45 |
| 35.2 | 100 |
| 39.9 | 65 |
| 42.3 | 53 |
| 46.8 | 27 |
| 59.8 | 19 |
| 63.2 | 33 |
| 64.6 | 39 |



Structure and calculated PXRD pattern of KAg2Au2 (a DFT-relaxed cell (GGA-PBE, OQMD); Cu Kα, 1.54184 Å).
Kinematic intensities with the Lorentz-polarization factor, no thermal factor.

Crystal structure
Unit cell a=4.331 b=4.331 c=12.767 alpha=90.00 beta=90.00 gamma=90.00
Atoms (fractional coordinates):
K 0.000 0.000 0.000
K 0.500 0.500 0.500
Ag 0.000 0.500 0.250
Ag 0.000 0.500 0.750
Ag 0.500 0.000 0.250
Ag 0.500 0.000 0.750
Au 0.000 0.000 0.394
Au 0.000 0.000 0.606
Au 0.500 0.500 0.106
Au 0.500 0.500 0.894

Main lines, in order of rising 2θ (10° ≤ 2θ ≤ 80°):
| Position (°2θ) | I/Imax |
| --- | --- |
| 21.7 | 100 |
| 29.4 | 28 |
| 32.4 | 68 |
| 40.8 | 80 |
| 41.0 | 51 |
| 41.7 | 57 |
| 47.5 | 27 |
| 59.9 | 33 |
| 60.5 | 19 |
| 75.5 | 26 |